Starting from a PBE+U-relaxed structure, the PXRD pattern of MgAg4Te8Mo2O24 was simulated for Cu Kα X-rays.
Kinematic intensities with the Lorentz-polarization factor, no thermal factor.

Crystal structure
a b c (Å): 5.837 9.557 12.005
angles (deg): 77.94 89.28 72.36
Space group P1 (No. 1)
Unique sites:
Mg 0.000 0.000 0.000 x1
Ag 0.017 0.641 0.217 x1
Ag 0.101 0.523 0.645 x1
Ag 0.501 0.647 0.709 x1
Ag 0.543 0.505 0.201 x1
Te 0.031 0.372 0.045 x1
Te 0.047 0.736 0.885 x1
Te 0.217 0.265 0.367 x1
Te 0.335 0.744 0.409 x1
Te 0.520 0.888 0.082 x1
Te 0.605 0.286 0.864 x1
Te 0.719 0.368 0.539 x1
Te 0.753 0.908 0.577 x1
Mo 0.166 0.066 0.717 x1
Mo 0.895 0.063 0.244 x1
O 0.033 0.289 0.620 x1
O 0.053 0.846 0.295 x1
O 0.138 0.753 0.539 x1
O 0.154 0.089 0.339 x1
O 0.188 0.788 0.014 x1
O 0.224 0.037 0.103 x1
O 0.230 0.365 0.213 x1
O 0.230 0.843 0.780 x1
O 0.253 0.544 0.883 x1
O 0.315 0.107 0.827 x1
O 0.332 0.556 0.383 x1
O 0.416 0.027 0.607 x1
O 0.538 0.378 0.708 x1
O 0.572 0.757 0.224 x1
O 0.656 0.099 0.332 x1
O 0.700 0.568 0.538 x1
O 0.732 0.013 0.107 x1
O 0.812 0.760 0.714 x1
O 0.828 0.270 0.135 x1
O 0.834 0.385 0.896 x1
O 0.847 0.564 0.060 x1
O 0.854 0.105 0.847 x1
O 0.883 0.372 0.382 x1
O 0.884 0.053 0.617 x1

Principal peaks in the range 5 to 70 degrees two-theta, low angle first:
| d_spacing | intensity |
| --- | --- |
| 4.121 | 24.4 |
| 3.652 | 29.1 |
| 3.320 | 47.1 |
| 3.281 | 43.1 |
| 3.224 | 73.4 |
| 3.081 | 100.0 |
| 2.732 | 25.2 |
| 2.669 | 33.2 |
| 2.648 | 29.9 |
| 2.377 | 25.6 |